Simulated powder X-ray diffraction pattern
Compound: RbU2Tl2S7
Radiation: Cu Kα X-rays
Structure: a DFT-relaxed cell (PBE, Alexandria)
Peak positions follow from Bragg's law for the DFT cell and can differ from measured ones.

Most intense lines, 10 to 80 degrees two-theta, sorted by position:
| two_theta | I (rel.) |
| --- | --- |
| 13.5 | 19.6 |
| 24.0 | 100.0 |
| 24.2 | 63.9 |
| 34.1 | 16.8 |
| 34.5 | 43.9 |
| 35.2 | 14.8 |
| 42.2 | 15.7 |
| 42.5 | 35.8 |
| 49.6 | 15.5 |
| 55.9 | 13.6 |

Structure:
```
data_RbU2Tl2S7
_chemical_formula_sum 'Rb2 U4 Tl4 S14'
_symmetry_space_group_name_H-M 'C 1 2/m 1'
_symmetry_Int_Tables_number 12
_symmetry_space_group_name_Hall '-C 2y'
_cell_length_a 7.357
_cell_length_b 7.356
_cell_length_c 13.657
_cell_angle_alpha 90.00
_cell_angle_beta 105.44
_cell_angle_gamma 90.00
loop_
_atom_site_label
_atom_site_fract_x
_atom_site_fract_y
_atom_site_fract_z
Rb1 0.000 0.000 0.000
U1 0.098 0.500 0.199
Tl1 0.190 0.000 0.371
S1 0.000 0.500 0.000
S2 0.153 0.250 0.805
S3 0.188 0.500 0.385
```